No. 1
The following is a simulated X-ray powder pattern of La3AsBr3. It was derived from a cell relaxed with GGA-PBE, using copper Kα.
Kinematic intensities with the Lorentz-polarization factor, no thermal factor.

Peak list (8 most intense, 2θ from 15° to 90°, sorted by position)
2theta  I_rel  h k l
27.3  150  3 2 1
29.3  1000  4 0 0
34.4  81  3 3 2
41.8  731  4 4 0
51.9  253  4 4 4
60.7  115  8 0 0
68.8  308  8 4 0
76.4  223  8 4 4

Atomic structure:
a = 12.2124 Å, b = 12.2124 Å, c = 12.2124 Å
α = 90.00°, β = 90.00°, γ = 90.00°
Space group I4_132 (No. 214)
Unique sites:
1 La 0.1158 0.3658 0.1250 (multiplicity 24)
2 As 0.1250 0.1250 0.1250 (multiplicity 8)
3 Br 0.1202 0.1298 0.6250 (multiplicity 24)

---

No. 2
The following is a simulated X-ray powder pattern of Tm2GaRu. It was derived from a cell relaxed with GGA-PBE, using copper Kα.
Kinematic intensities with the Lorentz-polarization factor, no thermal factor.

Peak list (8 most intense, 2θ from 15° to 90°, sorted by position)
2theta  I_rel  h k l
25.9  118  2 0 0
37.0  1000  2 2 0
45.7  36  2 2 2
53.3  174  4 0 0
60.2  50  4 2 0
66.6  354  4 2 2
78.7  110  4 4 0
84.5  26  6 0 0

Atomic structure:
a = 6.8773 Å, b = 6.8773 Å, c = 6.8773 Å
α = 90.00°, β = 90.00°, γ = 90.00°
Space group Fm-3m (No. 225)
Unique sites:
1 Tm 0.2500 0.2500 0.2500 (multiplicity 8)
2 Ga 0.0000 0.0000 0.0000 (multiplicity 4)
3 Ru 0.0000 0.0000 0.5000 (multiplicity 4)

---

No. 3
The following is a simulated X-ray powder pattern of BeH2O2. It was derived from a cell relaxed with GGA-PBE, using copper Kα.
Kinematic intensities with the Lorentz-polarization factor, no thermal factor.

Peak list (8 most intense, 2θ from 15° to 90°, sorted by position)
2theta  I_rel  h k l
17.1  399  1 0 -2
20.4  1000  1 0 2
21.0  627  1 1 -1
22.4  940  1 1 1
28.2  451  2 1 0
34.1  476  2 1 2
35.0  527  2 0 3
35.1  448  1 1 -4

Atomic structure:
a = 8.0485 Å, b = 5.2407 Å, c = 11.9233 Å
α = 90.00°, β = 100.16°, γ = 90.00°
Space group P2_1 (No. 4)
Unique sites:
1 Be 0.0711 0.0000 0.2042 (multiplicity 2)
2 Be 0.1767 0.2941 0.6852 (multiplicity 2)
3 Be 0.1807 0.4986 0.1331 (multiplicity 2)
4 Be 0.2333 0.7529 0.7798 (multiplicity 2)
5 Be 0.4065 0.2331 0.5069 (multiplicity 2)
6 Be 0.4091 0.6467 0.0117 (multiplicity 2)
7 H 0.0053 0.2342 0.0508 (multiplicity 2)
8 H 0.0201 0.9582 0.6832 (multiplicity 2)
9 H 0.0485 0.1513 0.8486 (multiplicity 2)
10 H 0.0987 0.7250 0.4792 (multiplicity 2)
11 H 0.1333 0.1281 0.4209 (multiplicity 2)
12 H 0.1485 0.7477 0.4318 (multiplicity 2)
13 H 0.2739 0.9718 0.9449 (multiplicity 2)
14 H 0.3394 0.5222 0.6209 (multiplicity 2)
15 H 0.4389 0.3937 0.8712 (multiplicity 2)
16 H 0.4514 0.4521 0.1821 (multiplicity 2)
17 H 0.4512 0.8976 0.6114 (multiplicity 2)
18 H 0.4905 0.1249 0.2524 (multiplicity 2)
19 O 0.0561 0.7235 0.1340 (multiplicity 2)
20 O 0.1002 0.2285 0.1148 (multiplicity 2)
21 O 0.1057 0.5170 0.7437 (multiplicity 2)
22 O 0.1356 0.0099 0.7130 (multiplicity 2)
23 O 0.2254 0.1998 0.3863 (multiplicity 2)
24 O 0.2445 0.9966 0.3021 (multiplicity 2)
25 O 0.2625 0.7937 0.9213 (multiplicity 2)
26 O 0.3037 0.3437 0.6026 (multiplicity 2)
27 O 0.3652 0.5666 0.1366 (multiplicity 2)
28 O 0.4163 0.7479 0.7344 (multiplicity 2)
29 O 0.4450 0.3727 0.9527 (multiplicity 2)
30 O 0.4787 0.9501 0.5363 (multiplicity 2)

---

No. 4
The following is a simulated X-ray powder pattern of ZnGa2S4. It was derived from a cell relaxed with GGA-PBE, using copper Kα.
Kinematic intensities with the Lorentz-polarization factor, no thermal factor.

Peak list (8 most intense, 2θ from 15° to 90°, sorted by position)
2theta  I_rel  h k l
26.1  368  3 0 1
28.8  1000  3 1 1
29.4  986  1 2 1
32.0  338  2 2 1
41.5  798  2 2 2
41.8  398  4 0 2
49.7  406  0 4 0
50.4  711  6 2 0

Atomic structure:
a = 12.4951 Å, b = 7.3313 Å, c = 5.9927 Å
α = 90.00°, β = 90.00°, γ = 90.00°
Space group Pnma (No. 62)
Unique sites:
1 Zn 0.2332 0.2500 0.0046 (multiplicity 4)
2 Ga 0.0000 0.0000 0.5000 (multiplicity 4)
3 Ga 0.0862 0.7500 0.0835 (multiplicity 4)
4 S 0.0778 0.2500 0.7383 (multiplicity 4)
5 S 0.0900 0.7500 0.7063 (multiplicity 4)
6 S 0.1621 0.5043 0.2592 (multiplicity 8)